Starting from DFT lattice parameters and positions (GGA-PBE), the X-ray diffraction stick pattern of LiTi6O12 was computed for copper Kα.
Kinematic intensities with the Lorentz-polarization factor, no thermal factor.

Structural model:
```
LiTi6O12
1.0
4.924 0.000 0.000
0.000 5.939 0.000
-0.581 0.000 14.239
Li Ti O
2 12 24
Direct
0.000 0.125 0.000 Li
0.000 0.875 0.500 Li
0.383 0.375 0.620 Ti
0.383 0.625 0.120 Ti
0.431 0.127 0.133 Ti
0.431 0.873 0.633 Ti
0.458 0.379 0.934 Ti
0.458 0.621 0.434 Ti
0.459 0.129 0.435 Ti
0.459 0.871 0.935 Ti
0.931 0.125 0.777 Ti
0.931 0.375 0.281 Ti
0.931 0.625 0.781 Ti
0.931 0.875 0.277 Ti
0.114 0.375 0.715 O
0.114 0.625 0.215 O
0.118 0.124 0.215 O
0.118 0.876 0.715 O
0.226 0.125 0.883 O
0.226 0.875 0.383 O
0.228 0.119 0.554 O
0.228 0.881 0.054 O
0.229 0.368 0.054 O
0.229 0.632 0.554 O
0.242 0.375 0.376 O
0.242 0.625 0.876 O
0.619 0.130 0.683 O
0.619 0.379 0.184 O
0.619 0.621 0.684 O
0.619 0.870 0.183 O
0.621 0.375 0.506 O
0.621 0.625 0.006 O
0.628 0.125 0.008 O
0.628 0.875 0.508 O
0.744 0.122 0.346 O
0.744 0.878 0.846 O
0.747 0.372 0.848 O
0.747 0.628 0.348 O
```

The 10 most intense peaks (10° ≤ 2θ ≤ 80°), low angle first:
2θ (°)	intensity	(hkl)
18.03	40	1 0 0
21.53	56	1 0 -2
22.38	100	1 0 2
30.39	65	1 0 -4
31.62	32	1 0 4
35.70	87	0 2 3
40.61	50	1 2 3
51.37	27	2 2 -3
52.58	42	2 2 3
67.02	25	0 2 9